(1)
# SrNi5As3
Theoretical X-ray powder pattern, copper Kα. Input: a GGA-PBE-relaxed structure.
Peak positions follow from Bragg's law for the DFT cell and can differ from measured ones.

Crystal structure
```
data_SrNi5As3
_chemical_formula_sum 'Sr4 Ni20 As12'
_cell_length_a 3.7620
_cell_length_b 12.2381
_cell_length_c 11.9469
_cell_angle_alpha 90.00
_cell_angle_beta 90.00
_cell_angle_gamma 90.00
_space_group_name_H-M_alt 'C m c m'
_space_group_IT_number 63
_space_group_name_Hall '-C 2c 2'
loop_
_atom_site_label
_atom_site_type_symbol
_atom_site_fract_x
_atom_site_fract_y
_atom_site_fract_z
Sr1 Sr 0.0000 0.1642 0.2500
Ni1 Ni 0.0000 0.0000 0.0000
Ni2 Ni 0.0000 0.1932 0.5670
Ni3 Ni 0.0000 0.4517 0.1448
As1 As 0.0000 0.1134 0.7500
As2 As 0.0000 0.3791 0.5408
```

The 12 most intense peaks (5 to 70 degrees two-theta), most intense first:
- 2θ = 35.78°, I 100
- 2θ = 33.58°, I 93
- 2θ = 48.38°, I 93
- 2θ = 46.82°, I 76
- 2θ = 39.21°, I 70
- 2θ = 45.58°, I 50
- 2θ = 44.14°, I 41
- 2θ = 50.26°, I 38
- 2θ = 14.83°, I 36
- 2θ = 50.48°, I 35
- 2θ = 32.37°, I 32
- 2θ = 37.05°, I 29

=====

(2)
# TlInCl3
Theoretical X-ray powder pattern, copper Kα. Input: a GGA-PBE-relaxed structure.
Peak positions follow from Bragg's law for the DFT cell and can differ from measured ones.

Crystal structure
```
data_TlInCl3
_chemical_formula_sum 'Tl2 In2 Cl6'
_cell_length_a 7.6583
_cell_length_b 7.6656
_cell_length_c 5.4119
_cell_angle_alpha 90.00
_cell_angle_beta 90.05
_cell_angle_gamma 90.00
_space_group_name_H-M_alt 'C 1 m 1'
_space_group_IT_number 8
_space_group_name_Hall 'C -2y'
loop_
_atom_site_label
_atom_site_type_symbol
_atom_site_fract_x
_atom_site_fract_y
_atom_site_fract_z
Tl1 Tl 0.0000 0.0000 0.0000
In1 In 0.0083 0.5000 0.4768
Cl1 Cl 0.0147 0.5000 0.9743
Cl2 Cl 0.2580 0.2513 0.4681
```

The 12 most intense peaks (5 to 70 degrees two-theta), most intense first:
- 2θ = 23.23°, I 100
- 2θ = 40.81°, I 47
- 2θ = 33.08°, I 47
- 2θ = 47.48°, I 33
- 2θ = 64.36°, I 23
- 2θ = 53.50°, I 22
- 2θ = 28.55°, I 19
- 2θ = 59.09°, I 11
- 2θ = 56.34°, I 8
- 2θ = 69.41°, I 5
- 2θ = 37.12°, I 3
- 2θ = 16.37°, I 3

=====

(3)
# NaSrDySeO6
Theoretical X-ray powder pattern, copper Kα. Input: a GGA-PBE-relaxed structure.
Peak positions follow from Bragg's law for the DFT cell and can differ from measured ones.

Crystal structure
```
data_NaSrDySeO6
_chemical_formula_sum 'Na4 Sr4 Dy4 Se4 O24'
_cell_length_a 8.0468
_cell_length_b 8.0468
_cell_length_c 8.0468
_cell_angle_alpha 90.00
_cell_angle_beta 90.00
_cell_angle_gamma 90.00
_space_group_name_H-M_alt 'F -4 3 m'
_space_group_IT_number 216
_space_group_name_Hall 'F -4 2 3'
loop_
_atom_site_label
_atom_site_type_symbol
_atom_site_fract_x
_atom_site_fract_y
_atom_site_fract_z
Na1 Na 0.0000 0.0000 0.0000
Sr1 Sr 0.0000 0.0000 0.5000
Dy1 Dy 0.2500 0.2500 0.2500
Se1 Se 0.2500 0.2500 0.7500
O1 O 0.0237 0.2500 0.7500
```

The 11 most intense peaks (5 to 70 degrees two-theta), most intense first:
- 2θ = 31.44°, I 100
- 2θ = 55.98°, I 39
- 2θ = 45.07°, I 34
- 2θ = 22.09°, I 32
- 2θ = 65.63°, I 20
- 2θ = 19.10°, I 17
- 2θ = 37.05°, I 14
- 2θ = 50.74°, I 12
- 2θ = 49.37°, I 8
- 2θ = 59.71°, I 4
- 2θ = 69.05°, I 4